The following is a computed powder XRD pattern of Nd4GaTe2I. It was derived from a crystal structure in Alexandria, relaxed with PBE, using CuKα.
Kinematic intensities with the Lorentz-polarization factor, no thermal factor.

Structural model:
```
Nd4GaTe2I
1.0
7.708 0.000 0.000
0.000 4.430 0.000
-2.533 0.000 7.456
Nd Ga Te I
4 1 2 1
direct
0.233 0.000 0.224
0.248 0.500 0.778
0.752 0.500 0.222
0.767 0.000 0.776
0.000 0.500 0.000
0.500 0.000 0.000
0.500 0.500 0.500
0.000 0.000 0.500
```

Largest 10 diffraction maxima, by angle, 2θ = 10–90°:
2θ (°)	I/Imax
28.2	100.0
39.7	12.2
39.9	23.8
40.6	25.2
40.7	12.7
50.3	13.2
58.2	11.6
65.5	9.3
66.4	11.0
73.6	7.9